No. 1
Diffraction record for BaYFeO4. The X-ray powder pattern is calculated, not measured: it uses a GGA+U-relaxed structure and copper Kα.
Peak positions follow from Bragg's law for the DFT cell and can differ from measured ones.

Largest 6 diffraction maxima, in order of falling intensity, 15° ≤ 2θ ≤ 90°:
30.9°, intensity 1000
31.1°, intensity 356
32.2°, intensity 249
41.2°, intensity 206
26.7°, intensity 193
26.4°, intensity 168

Structure:
```
data_BaYFeO4
_chemical_formula_sum 'Ba8 Y8 Fe8 O32'
_cell_length_a 13.3562
_cell_length_b 5.7594
_cell_length_c 10.3831
_cell_angle_alpha 90.00
_cell_angle_beta 90.00
_cell_angle_gamma 90.00
_symmetry_space_group_name_H-M 'P n m a'
_symmetry_Int_Tables_number 62
_symmetry_space_group_name_Hall '-P 2ac 2n'
loop_
_atom_site_label
_atom_site_fract_x
_atom_site_fract_y
_atom_site_fract_z
Ba1 0.0842 0.2500 0.1030
Ba2 0.2125 0.7500 0.3263
Y1 0.0846 0.2500 0.4855
Y2 0.1433 0.7500 0.6904
Fe1 0.0309 0.2500 0.7832
Fe2 0.1925 0.7500 0.9769
O1 0.0070 0.0097 0.6396
O2 0.0883 0.7500 0.1185
O3 0.1111 0.0009 0.8678
O4 0.2096 0.2500 0.3190
O5 0.2172 0.0100 0.5580
```

No. 2
Diffraction record for BaYFe4O7. The X-ray powder pattern is calculated, not measured: it uses a GGA+U-relaxed structure and copper Kα.
Peak positions follow from Bragg's law for the DFT cell and can differ from measured ones.

Largest 6 diffraction maxima, in order of falling intensity, 15° ≤ 2θ ≤ 90°:
33.1°, intensity 1000
27.6°, intensity 511
32.0°, intensity 506
34.2°, intensity 477
56.9°, intensity 372
28.2°, intensity 249

Structure:
```
data_BaYFe4O7
_chemical_formula_sum 'Ba2 Y2 Fe8 O14'
_cell_length_a 6.3319
_cell_length_b 6.3319
_cell_length_c 9.3548
_cell_angle_alpha 90.00
_cell_angle_beta 90.00
_cell_angle_gamma 90.00
_symmetry_space_group_name_H-M 'I -4'
_symmetry_Int_Tables_number 82
_symmetry_space_group_name_Hall 'I -4'
loop_
_atom_site_label
_atom_site_fract_x
_atom_site_fract_y
_atom_site_fract_z
Ba1 0.0000 0.0000 0.0000
Y1 0.0000 0.5000 0.2500
Fe1 0.0307 0.7408 0.6300
O1 0.0000 0.0000 0.5000
O2 0.0000 0.5000 0.0045
O3 0.1965 0.8027 0.2259
```

No. 3
Diffraction record for Ba4Y2Fe2O11. The X-ray powder pattern is calculated, not measured: it uses a GGA+U-relaxed structure and copper Kα.
Peak positions follow from Bragg's law for the DFT cell and can differ from measured ones.

Largest 6 diffraction maxima, in order of falling intensity, 15° ≤ 2θ ≤ 90°:
29.9°, intensity 1000
29.0°, intensity 567
41.5°, intensity 311
52.0°, intensity 211
53.6°, intensity 168
51.9°, intensity 168

Structure:
```
data_Ba4Y2Fe2O11
_chemical_formula_sum 'Ba8 Y4 Fe4 O22'
_cell_length_a 8.2273
_cell_length_b 12.3242
_cell_length_c 6.1444
_cell_angle_alpha 90.00
_cell_angle_beta 90.00
_cell_angle_gamma 90.00
_symmetry_space_group_name_H-M 'P m c 21'
_symmetry_Int_Tables_number 26
_symmetry_space_group_name_Hall 'P 2c -2'
loop_
_atom_site_label
_atom_site_fract_x
_atom_site_fract_y
_atom_site_fract_z
Ba1 0.2290 0.1071 0.0000
Ba2 0.2379 0.3675 0.4827
Y1 0.0000 0.3743 0.9806
Y2 0.5000 0.1250 0.4996
Fe1 0.0000 0.1382 0.4871
Fe2 0.5000 0.3411 0.9767
O1 0.0000 0.0194 0.2949
O2 0.0000 0.2363 0.7358
O3 0.0000 0.2546 0.2546
O4 0.0000 0.4848 0.6972
O5 0.2284 0.1282 0.5114
O6 0.2922 0.3962 0.9885
O7 0.5000 0.0152 0.7801
O8 0.5000 0.2508 0.2142
O9 0.5000 0.2865 0.7001
```

No. 4
Diffraction record for BaZnFe4O8. The X-ray powder pattern is calculated, not measured: it uses a GGA+U-relaxed structure and copper Kα.
Peak positions follow from Bragg's law for the DFT cell and can differ from measured ones.

Largest 6 diffraction maxima, in order of falling intensity, 15° ≤ 2θ ≤ 90°:
30.8°, intensity 1000
33.0°, intensity 833
45.8°, intensity 351
57.6°, intensity 338
60.8°, intensity 335
58.9°, intensity 243

Structure:
```
data_BaZnFe4O8
_chemical_formula_sum 'Ba1 Zn1 Fe4 O8'
_cell_length_a 5.4318
_cell_length_b 5.4318
_cell_length_c 7.3626
_cell_angle_alpha 90.00
_cell_angle_beta 90.00
_cell_angle_gamma 120.00
_symmetry_space_group_name_H-M 'P -3 1 m'
_symmetry_Int_Tables_number 162
_symmetry_space_group_name_Hall '-P 3 2'
loop_
_atom_site_label
_atom_site_fract_x
_atom_site_fract_y
_atom_site_fract_z
Ba1 0.0000 0.0000 0.0000
Zn1 0.0000 0.0000 0.5000
Fe1 0.3333 0.6667 0.2560
O1 0.0000 0.3169 0.3212
O2 0.3333 0.6667 0.0000
```

No. 5
Diffraction record for KBaGdMo3O12. The X-ray powder pattern is calculated, not measured: it uses a GGA+U-relaxed structure and copper Kα.
Peak positions follow from Bragg's law for the DFT cell and can differ from measured ones.

Largest 6 diffraction maxima, in order of falling intensity, 15° ≤ 2θ ≤ 90°:
26.7°, intensity 1000
27.2°, intensity 948
28.8°, intensity 272
44.4°, intensity 254
43.3°, intensity 251
31.6°, intensity 211

Structure:
```
data_KBaGdMo3O12
_chemical_formula_sum 'K4 Ba4 Gd4 Mo12 O48'
_cell_length_a 17.6832
_cell_length_b 12.4085
_cell_length_c 5.4179
_cell_angle_alpha 90.00
_cell_angle_beta 106.19
_cell_angle_gamma 90.00
_symmetry_space_group_name_H-M 'C 1 2 1'
_symmetry_Int_Tables_number 5
_symmetry_space_group_name_Hall 'C 2y'
loop_
_atom_site_label
_atom_site_fract_x
_atom_site_fract_y
_atom_site_fract_z
K1 0.1642 0.0000 0.1728
Ba1 0.1661 0.2505 0.6743
Gd1 0.0000 0.5107 0.5000
Gd2 0.0000 0.7486 0.0000
Mo1 0.0000 0.2772 0.0000
Mo2 0.0000 0.9769 0.5000
Mo3 0.1562 0.7370 0.6492
Mo4 0.1565 0.5164 0.1499
O1 0.0394 0.3561 0.7798
O2 0.0386 0.8952 0.2833
O3 0.0754 0.6641 0.4042
O4 0.0756 0.5870 0.9046
O5 0.0782 0.0614 0.6748
O6 0.0786 0.1944 0.1766
O7 0.1112 0.4389 0.3563
O8 0.1112 0.8124 0.8551
O9 0.2052 0.4264 0.9931
O10 0.2070 0.8249 0.4935
O11 0.2298 0.5964 0.3620
O12 0.2301 0.6583 0.8648
```

No. 6
Diffraction record for BaLiGd2Mo4O16. The X-ray powder pattern is calculated, not measured: it uses a GGA+U-relaxed structure and copper Kα.
Peak positions follow from Bragg's law for the DFT cell and can differ from measured ones.

Largest 6 diffraction maxima, in order of falling intensity, 15° ≤ 2θ ≤ 90°:
26.0°, intensity 1000
25.5°, intensity 963
28.9°, intensity 957
28.2°, intensity 853
29.6°, intensity 833
27.2°, intensity 769

Structure:
```
data_BaLiGd2Mo4O16
_chemical_formula_sum 'Ba4 Li4 Gd8 Mo16 O64'
_cell_length_a 5.3198
_cell_length_b 12.8367
_cell_length_c 19.4789
_cell_angle_alpha 90.00
_cell_angle_beta 91.33
_cell_angle_gamma 90.00
_symmetry_space_group_name_H-M 'C 1 2/c 1'
_symmetry_Int_Tables_number 15
_symmetry_space_group_name_Hall '-C 2yc'
loop_
_atom_site_label
_atom_site_fract_x
_atom_site_fract_y
_atom_site_fract_z
Ba1 0.0000 0.0285 0.2500
Li1 0.0000 0.3182 0.2500
Gd1 0.0001 0.1443 0.0322
Mo1 0.0012 0.2608 0.6500
Mo2 0.0097 0.4395 0.0930
O1 0.1294 0.4150 0.3255
O2 0.1430 0.1453 0.8200
O3 0.1594 0.3293 0.0450
O4 0.1640 0.2397 0.5684
O5 0.2296 0.3004 0.7134
O6 0.2388 0.0182 0.5359
O7 0.2408 0.4556 0.6054
O8 0.2467 0.1464 0.1364
```

No. 7
Diffraction record for BaGd2Mn2O7. The X-ray powder pattern is calculated, not measured: it uses a GGA+U-relaxed structure and copper Kα.
Peak positions follow from Bragg's law for the DFT cell and can differ from measured ones.

Largest 6 diffraction maxima, in order of falling intensity, 15° ≤ 2θ ≤ 90°:
31.9°, intensity 1000
32.3°, intensity 609
57.3°, intensity 363
46.3°, intensity 321
42.3°, intensity 233
23.1°, intensity 195

Structure:
```
data_BaGd2Mn2O7
_chemical_formula_sum 'Ba4 Gd8 Mn8 O28'
_cell_length_a 5.5442
_cell_length_b 5.5442
_cell_length_c 20.0986
_cell_angle_alpha 90.00
_cell_angle_beta 90.00
_cell_angle_gamma 90.00
_symmetry_space_group_name_H-M 'P 42/m n m'
_symmetry_Int_Tables_number 136
_symmetry_space_group_name_Hall '-P 4n 2n'
loop_
_atom_site_label
_atom_site_fract_x
_atom_site_fract_y
_atom_site_fract_z
Ba1 0.2440 0.2440 0.0000
Gd1 0.2287 0.2287 0.1837
Mn1 0.2463 0.2463 0.3978
O1 0.0000 0.0000 0.0996
O2 0.0000 0.0000 0.3754
O3 0.0000 0.5000 0.1124
O4 0.2018 0.7982 0.2084
O5 0.2259 0.2259 0.5000
```

No. 8
Diffraction record for Ba2GdMoO6. The X-ray powder pattern is calculated, not measured: it uses a GGA+U-relaxed structure and copper Kα.
Peak positions follow from Bragg's law for the DFT cell and can differ from measured ones.

Largest 6 diffraction maxima, in order of falling intensity, 15° ≤ 2θ ≤ 90°:
29.4°, intensity 1000
29.6°, intensity 504
52.5°, intensity 407
42.4°, intensity 286
52.1°, intensity 208
61.1°, intensity 183

Structure:
```
data_Ba2GdMoO6
_chemical_formula_sum 'Ba4 Gd2 Mo2 O12'
_cell_length_a 6.0274
_cell_length_b 6.0274
_cell_length_c 8.6350
_cell_angle_alpha 90.00
_cell_angle_beta 90.00
_cell_angle_gamma 90.00
_symmetry_space_group_name_H-M 'I 4/m'
_symmetry_Int_Tables_number 87
_symmetry_space_group_name_Hall '-I 4'
loop_
_atom_site_label
_atom_site_fract_x
_atom_site_fract_y
_atom_site_fract_z
Ba1 0.0000 0.5000 0.2500
Gd1 0.0000 0.0000 0.0000
Mo1 0.0000 0.0000 0.5000
O1 0.0000 0.0000 0.2632
O2 0.2046 0.2581 0.5000
```

No. 9
Diffraction record for Ba2GdMoO6. The X-ray powder pattern is calculated, not measured: it uses a GGA+U-relaxed structure and copper Kα.
Peak positions follow from Bragg's law for the DFT cell and can differ from measured ones.

Largest 6 diffraction maxima, in order of falling intensity, 15° ≤ 2θ ≤ 90°:
29.5°, intensity 1000
29.3°, intensity 672
29.6°, intensity 335
52.2°, intensity 276
52.0°, intensity 276
41.8°, intensity 203

Structure:
```
data_Ba2GdMoO6
_chemical_formula_sum 'Ba2 Gd1 Mo1 O6'
_cell_length_a 6.0422
_cell_length_b 6.0538
_cell_length_c 6.0582
_cell_angle_alpha 119.58
_cell_angle_beta 119.48
_cell_angle_gamma 90.67
_symmetry_space_group_name_H-M 'P -1'
_symmetry_Int_Tables_number 2
_symmetry_space_group_name_Hall '-P 1'
loop_
_atom_site_label
_atom_site_fract_x
_atom_site_fract_y
_atom_site_fract_z
Ba1 0.2467 0.2483 0.4973
Gd1 0.5000 0.0000 0.0000
Mo1 0.0000 0.5000 0.0000
O1 0.2134 0.7600 0.0130
O2 0.2237 0.7348 0.4736
O3 0.2589 0.2869 0.0089
```

Which formula does entry 1 have?
BaYFeO4

Number 8 is which compound?
Ba2GdMoO6